Diffraction record for Er3CrB7. The XRD peak list is calculated, not measured: it uses a DFT-relaxed cell (PBE, the Materials Project) and Cu Kα X-rays.
No peak broadening, texture or thermal motion is included.

Most intense lines, 2θ = 10–90°, most intense first:
2θ = 39.71°, I 100; 2θ = 29.82°, I 100; 2θ = 26.72°, I 77; 2θ = 31.05°, I 70; 2θ = 32.77°, I 62; 2θ = 43.76°, I 45; 2θ = 34.30°, I 41; 2θ = 22.24°, I 40; 2θ = 40.22°, I 39; 2θ = 57.49°, I 39

Atomic structure:
```
data_Er3CrB7
_chemical_formula_sum 'Er12 Cr4 B28'
_cell_length_a 3.415
_cell_length_b 15.687
_cell_length_c 9.290
_cell_angle_alpha 90.00
_cell_angle_beta 90.00
_cell_angle_gamma 90.00
_symmetry_space_group_name_H-M 'C m c m'
_symmetry_Int_Tables_number 63
_symmetry_space_group_name_Hall '-C 2c 2'
loop_
_atom_site_label
_atom_site_type_symbol
_atom_site_fract_x
_atom_site_fract_y
_atom_site_fract_z
_atom_site_occupancy
Er1 Er 0.000 0.105 0.060 1
Er2 Er 0.000 0.241 0.750 1
Cr1 Cr 0.000 0.053 0.750 1
B1 B 0.000 0.273 0.032 1
B2 B 0.000 0.369 0.151 1
B3 B 0.000 0.458 0.750 1
B4 B 0.000 0.479 0.096 1
```

=====

Diffraction record for La5Mg. The XRD peak list is calculated, not measured: it uses a DFT-relaxed cell (PBE, the Materials Project) and Cu Kα X-rays.
No peak broadening, texture or thermal motion is included.

Most intense lines, 2θ = 10–90°, most intense first:
2θ = 31.83°, I 100; 2θ = 27.84°, I 25; 2θ = 30.50°, I 25; 2θ = 59.05°, I 22; 2θ = 55.05°, I 21; 2θ = 49.25°, I 19; 2θ = 41.77°, I 17; 2θ = 59.84°, I 16; 2θ = 81.07°, I 13; 2θ = 84.31°, I 8

Atomic structure:
```
data_La5Mg
_chemical_formula_sum 'La15 Mg3'
_cell_length_a 6.4090
_cell_length_b 6.4090
_cell_length_c 17.5835
_cell_angle_alpha 90.00
_cell_angle_beta 90.00
_cell_angle_gamma 120.00
_symmetry_space_group_name_H-M 'R 3 2'
_symmetry_Int_Tables_number 155
_symmetry_space_group_name_Hall 'R 3 2"'
loop_
_atom_site_label
_atom_site_type_symbol
_atom_site_fract_x
_atom_site_fract_y
_atom_site_fract_z
_atom_site_occupancy
La1 La 0.0000 0.0000 0.1680 1
La2 La 0.0000 0.6575 0.0000 1
Mg1 Mg 0.0000 0.0000 0.5000 1
```

=====

Diffraction record for CeGaAg. The XRD peak list is calculated, not measured: it uses a DFT-relaxed cell (PBE, the Materials Project) and Cu Kα X-rays.
No peak broadening, texture or thermal motion is included.

Most intense lines, 2θ = 10–90°, most intense first:
2θ = 33.38°, I 100; 2θ = 38.97°, I 61; 2θ = 33.48°, I 44; 2θ = 38.70°, I 37; 2θ = 52.08°, I 25; 2θ = 32.03°, I 23; 2θ = 63.80°, I 14; 2θ = 39.13°, I 14; 2θ = 66.68°, I 13; 2θ = 65.68°, I 11

Atomic structure:
```
data_CeGaAg
_chemical_formula_sum 'Ce4 Ga4 Ag4'
_cell_length_a 4.653
_cell_length_b 7.212
_cell_length_c 7.990
_cell_angle_alpha 90.00
_cell_angle_beta 90.00
_cell_angle_gamma 90.00
_symmetry_space_group_name_H-M 'I m m 2'
_symmetry_Int_Tables_number 44
_symmetry_space_group_name_Hall 'I 2 -2'
loop_
_atom_site_label
_atom_site_type_symbol
_atom_site_fract_x
_atom_site_fract_y
_atom_site_fract_z
_atom_site_occupancy
Ce1 Ce 0.000 0.000 0.000 1
Ce2 Ce 0.000 0.500 0.064 1
Ga1 Ga 0.000 0.303 0.697 1
Ag1 Ag 0.000 0.211 0.366 1
```